[1]
Theoretical powder diffractogram of Pr7Si5Ni2 for CuKα, from a PBE-relaxed structure.

Atomic structure:
a b c (Å): 23.198 4.300 13.729
angles (deg): 90.00 90.00 90.00
Fractional positions:
Pr  0.020  0.250  0.116
Pr  0.068  0.250  0.543
Pr  0.104  0.750  0.307
Pr  0.117  0.750  0.749
Pr  0.133  0.750  0.024
Pr  0.226  0.250  0.399
Pr  0.237  0.250  0.664
Pr  0.263  0.750  0.164
Pr  0.274  0.750  0.899
Pr  0.367  0.250  0.524
Pr  0.383  0.250  0.249
Pr  0.396  0.250  0.807
Pr  0.432  0.750  0.043
Pr  0.480  0.750  0.616
Pr  0.520  0.250  0.384
Pr  0.568  0.250  0.957
Pr  0.604  0.750  0.193
Pr  0.617  0.750  0.751
Pr  0.633  0.750  0.476
Pr  0.726  0.250  0.101
Pr  0.737  0.250  0.836
Pr  0.763  0.750  0.336
Pr  0.774  0.750  0.601
Pr  0.867  0.250  0.976
Pr  0.883  0.250  0.251
Pr  0.896  0.250  0.693
Pr  0.932  0.750  0.457
Pr  0.980  0.750  0.884
Si  0.006  0.250  0.341
Si  0.073  0.250  0.894
Si  0.166  0.250  0.180
Si  0.167  0.750  0.533
Si  0.179  0.250  0.877
Si  0.321  0.750  0.377
Si  0.333  0.250  0.033
Si  0.334  0.750  0.680
Si  0.427  0.750  0.394
Si  0.494  0.750  0.841
Si  0.506  0.250  0.159
Si  0.573  0.250  0.606
Si  0.666  0.250  0.320
Si  0.667  0.750  0.967
Si  0.679  0.250  0.623
Si  0.821  0.750  0.123
Si  0.833  0.250  0.467
Si  0.834  0.750  0.820
Si  0.927  0.750  0.106
Si  0.994  0.750  0.659
Ni  0.019  0.250  0.744
Ni  0.227  0.250  0.030
Ni  0.273  0.750  0.530
Ni  0.481  0.750  0.244
Ni  0.519  0.250  0.756
Ni  0.727  0.250  0.470
Ni  0.773  0.750  0.970
Ni  0.981  0.750  0.256

Peak list (10 most intense, 2θ from 10° to 80°, sorted by position)
| Position (°2θ) | I/Imax |
| --- | --- |
| 22.0 | 251 |
| 27.7 | 265 |
| 28.5 | 345 |
| 30.3 | 354 |
| 30.8 | 1000 |
| 31.1 | 985 |
| 32.5 | 538 |
| 34.3 | 253 |
| 39.7 | 426 |
| 42.0 | 489 |


[2]
Theoretical powder diffractogram of Pr6Si3Ni2 for CuKα, from a PBE-relaxed structure.

Atomic structure:
a b c (Å): 11.774 4.520 11.858
angles (deg): 90.00 119.00 90.00
Fractional positions:
Pr  0.000  0.000  0.000
Pr  0.008  0.500  0.239
Pr  0.110  0.500  0.607
Pr  0.222  0.500  0.983
Pr  0.253  0.000  0.459
Pr  0.377  0.000  0.844
Pr  0.465  0.000  0.206
Pr  0.486  0.500  0.447
Pr  0.619  0.000  0.732
Pr  0.722  0.000  0.079
Pr  0.764  0.500  0.355
Pr  0.856  0.500  0.698
Si  0.080  0.000  0.780
Si  0.398  0.500  0.662
Si  0.520  0.500  0.060
Si  0.573  0.500  0.885
Si  0.799  0.500  0.933
Si  0.907  0.000  0.547
Ni  0.241  0.253  0.226
Ni  0.241  0.747  0.226
Ni  0.680  0.000  0.487
Ni  0.953  0.000  0.372

Peak list (10 most intense, 2θ from 10° to 80°, sorted by position)
| Position (°2θ) | I/Imax |
| --- | --- |
| 21.5 | 187 |
| 30.1 | 580 |
| 30.3 | 124 |
| 30.4 | 1000 |
| 31.0 | 216 |
| 31.5 | 197 |
| 31.6 | 195 |
| 32.8 | 145 |
| 33.0 | 136 |
| 39.9 | 451 |


[3]
Theoretical powder diffractogram of PrSi2TcNi for CuKα, from a PBE-relaxed structure.

Atomic structure:
a b c (Å): 4.106 4.106 10.161
angles (deg): 90.00 90.00 90.00
Fractional positions:
Pr  0.000  0.000  0.000
Pr  0.500  0.500  0.500
Si  0.000  0.000  0.370
Si  0.000  0.000  0.630
Si  0.500  0.500  0.130
Si  0.500  0.500  0.870
Tc  0.000  0.500  0.250
Tc  0.500  0.000  0.750
Ni  0.000  0.500  0.750
Ni  0.500  0.000  0.250

Peak list (10 most intense, 2θ from 10° to 80°, sorted by position)
| Position (°2θ) | I/Imax |
| --- | --- |
| 23.4 | 364 |
| 34.3 | 427 |
| 35.3 | 174 |
| 35.6 | 1000 |
| 44.1 | 389 |
| 50.1 | 130 |
| 57.0 | 195 |
| 57.7 | 165 |
| 63.6 | 194 |
| 75.6 | 212 |


[4]
Theoretical powder diffractogram of PrSm3Ni8 for CuKα, from a PBE-relaxed structure.

Atomic structure:
a b c (Å): 8.932 8.932 8.932
angles (deg): 33.48 33.48 33.48
Fractional positions:
Pr  0.000  0.000  0.000
Sm  0.125  0.125  0.125
Sm  0.500  0.500  0.500
Sm  0.624  0.624  0.624
Ni  0.062  0.062  0.560
Ni  0.062  0.560  0.062
Ni  0.063  0.563  0.563
Ni  0.312  0.312  0.312
Ni  0.560  0.062  0.062
Ni  0.563  0.063  0.563
Ni  0.563  0.563  0.063
Ni  0.812  0.812  0.812

Peak list (10 most intense, 2θ from 10° to 80°, sorted by position)
| Position (°2θ) | I/Imax |
| --- | --- |
| 21.1 | 95 |
| 34.8 | 600 |
| 41.1 | 1000 |
| 43.0 | 171 |
| 62.4 | 56 |
| 62.5 | 166 |
| 66.7 | 76 |
| 66.8 | 229 |
| 73.5 | 113 |
| 73.6 | 113 |


[5]
Theoretical powder diffractogram of PrNi5Sn for CuKα, from a PBE-relaxed structure.

Atomic structure:
a b c (Å): 4.940 4.940 19.808
angles (deg): 90.00 90.00 120.00
Fractional positions:
Pr  0.000  0.000  0.000
Pr  0.000  0.000  0.500
Pr  0.333  0.667  0.250
Pr  0.667  0.333  0.750
Ni  0.000  0.000  0.250
Ni  0.000  0.000  0.750
Ni  0.166  0.332  0.646
Ni  0.166  0.332  0.854
Ni  0.166  0.834  0.646
Ni  0.166  0.834  0.854
Ni  0.332  0.166  0.146
Ni  0.332  0.166  0.354
Ni  0.333  0.667  0.544
Ni  0.333  0.667  0.750
Ni  0.333  0.667  0.956
Ni  0.667  0.333  0.044
Ni  0.667  0.333  0.250
Ni  0.667  0.333  0.456
Ni  0.668  0.834  0.646
Ni  0.668  0.834  0.854
Ni  0.834  0.166  0.146
Ni  0.834  0.166  0.354
Ni  0.834  0.668  0.146
Ni  0.834  0.668  0.354
Sn  0.333  0.667  0.087
Sn  0.333  0.667  0.413
Sn  0.667  0.333  0.587
Sn  0.667  0.333  0.913

Peak list (10 most intense, 2θ from 10° to 80°, sorted by position)
| Position (°2θ) | I/Imax |
| --- | --- |
| 34.3 | 587 |
| 36.4 | 1000 |
| 38.1 | 372 |
| 40.8 | 562 |
| 42.2 | 221 |
| 42.5 | 444 |
| 45.9 | 540 |
| 46.2 | 197 |
| 64.1 | 274 |
| 77.2 | 307 |


[6]
Theoretical powder diffractogram of Pr2Ni7Sn for CuKα, from a PBE-relaxed structure.

Atomic structure:
a b c (Å): 3.942 3.942 10.650
angles (deg): 90.00 90.00 90.00
Fractional positions:
Pr  0.000  0.500  0.228
Pr  0.500  0.000  0.772
Ni  0.000  0.000  0.000
Ni  0.000  0.500  0.651
Ni  0.000  0.500  0.871
Ni  0.500  0.000  0.129
Ni  0.500  0.000  0.349
Ni  0.500  0.500  0.000
Ni  0.500  0.500  0.500
Sn  0.000  0.000  0.500

Peak list (10 most intense, 2θ from 10° to 80°, sorted by position)
| Position (°2θ) | I/Imax |
| --- | --- |
| 32.1 | 89 |
| 34.0 | 438 |
| 36.4 | 1000 |
| 46.0 | 460 |
| 47.2 | 107 |
| 48.6 | 218 |
| 58.5 | 180 |
| 67.2 | 143 |
| 69.2 | 145 |
| 78.9 | 202 |


[7]
Theoretical powder diffractogram of Pr2Ni4Sn for CuKα, from a PBE-relaxed structure.

Atomic structure:
a b c (Å): 6.053 5.948 5.670
angles (deg): 62.74 60.88 56.38
Fractional positions:
Pr  0.250  0.250  0.250
Pr  0.750  0.750  0.750
Ni  0.162  0.838  0.838
Ni  0.221  0.221  0.779
Ni  0.779  0.779  0.221
Ni  0.838  0.162  0.162
Sn  0.500  0.500  0.500

Peak list (10 most intense, 2θ from 10° to 80°, sorted by position)
| Position (°2θ) | I/Imax |
| --- | --- |
| 29.6 | 885 |
| 30.3 | 244 |
| 31.6 | 1000 |
| 37.4 | 288 |
| 37.6 | 637 |
| 40.4 | 447 |
| 44.3 | 379 |
| 47.6 | 284 |
| 52.2 | 421 |
| 61.5 | 252 |


[8]
Theoretical powder diffractogram of PrNiSn2 for CuKα, from a PBE-relaxed structure.

Atomic structure:
a b c (Å): 10.175 10.175 10.175
angles (deg): 154.16 125.29 61.46
Fractional positions:
Pr  0.206  0.206  0.000
Pr  0.238  0.000  0.238
Pr  0.762  0.000  0.762
Pr  0.794  0.794  0.000
Ni  0.098  0.351  0.747
Ni  0.396  0.649  0.747
Ni  0.604  0.351  0.253
Ni  0.902  0.649  0.253
Sn  0.080  0.580  0.500
Sn  0.142  0.805  0.337
Sn  0.416  0.416  0.000
Sn  0.468  0.805  0.663
Sn  0.532  0.195  0.337
Sn  0.584  0.584  0.000
Sn  0.858  0.195  0.663
Sn  0.920  0.420  0.500

Peak list (10 most intense, 2θ from 10° to 80°, sorted by position)
| Position (°2θ) | I/Imax |
| --- | --- |
| 27.8 | 404 |
| 31.4 | 310 |
| 32.3 | 1000 |
| 32.6 | 196 |
| 34.9 | 198 |
| 36.3 | 379 |
| 36.4 | 323 |
| 39.6 | 436 |
| 54.8 | 232 |
| 65.3 | 285 |


[9]
Theoretical powder diffractogram of PrNi9Sn2 for CuKα, from a PBE-relaxed structure.

Atomic structure:
a b c (Å): 8.271 8.271 4.915
angles (deg): 90.00 90.00 90.00
Fractional positions:
Pr  0.000  0.000  0.000
Pr  0.500  0.500  0.000
Ni  0.000  0.500  0.500
Ni  0.067  0.208  0.500
Ni  0.173  0.673  0.247
Ni  0.173  0.673  0.753
Ni  0.208  0.933  0.500
Ni  0.292  0.433  0.500
Ni  0.327  0.173  0.247
Ni  0.327  0.173  0.753
Ni  0.433  0.708  0.500
Ni  0.500  0.000  0.500
Ni  0.567  0.292  0.500
Ni  0.673  0.827  0.247
Ni  0.673  0.827  0.753
Ni  0.708  0.567  0.500
Ni  0.792  0.067  0.500
Ni  0.827  0.327  0.247
Ni  0.827  0.327  0.753
Ni  0.933  0.792  0.500
Sn  0.127  0.373  0.000
Sn  0.373  0.873  0.000
Sn  0.627  0.127  0.000
Sn  0.873  0.627  0.000

Peak list (10 most intense, 2θ from 10° to 80°, sorted by position)
| Position (°2θ) | I/Imax |
| --- | --- |
| 34.3 | 260 |
| 35.7 | 198 |
| 36.6 | 182 |
| 39.0 | 1000 |
| 42.8 | 236 |
| 43.5 | 383 |
| 44.2 | 774 |
| 45.2 | 272 |
| 49.3 | 155 |
| 67.5 | 186 |


[10]
Theoretical powder diffractogram of PrNi4Sn2 for CuKα, from a PBE-relaxed structure.

Atomic structure:
a b c (Å): 7.829 7.829 3.955
angles (deg): 90.00 90.00 90.00
Fractional positions:
Pr  0.000  0.000  0.000
Pr  0.500  0.500  0.500
Ni  0.083  0.364  0.500
Ni  0.136  0.583  0.000
Ni  0.364  0.083  0.500
Ni  0.417  0.864  0.000
Ni  0.583  0.136  0.000
Ni  0.636  0.917  0.500
Ni  0.864  0.417  0.000
Ni  0.917  0.636  0.500
Sn  0.222  0.778  0.500
Sn  0.278  0.278  0.000
Sn  0.722  0.722  0.000
Sn  0.778  0.222  0.500

Peak list (10 most intense, 2θ from 10° to 80°, sorted by position)
| Position (°2θ) | I/Imax |
| --- | --- |
| 27.7 | 262 |
| 32.3 | 541 |
| 34.2 | 950 |
| 36.3 | 318 |
| 39.7 | 342 |
| 43.1 | 1000 |
| 45.9 | 373 |
| 47.9 | 212 |
| 57.3 | 219 |
| 63.9 | 223 |


[11]
Theoretical powder diffractogram of PrNi3Sn for CuKα, from a PBE-relaxed structure.

Atomic structure:
a b c (Å): 5.070 7.312 5.164
angles (deg): 90.00 90.00 90.00
Fractional positions:
Pr  0.000  0.000  0.000
Pr  0.500  0.500  0.000
Ni  0.000  0.500  0.000
Ni  0.016  0.166  0.500
Ni  0.484  0.666  0.500
Ni  0.500  0.000  0.000
Ni  0.516  0.334  0.500
Ni  0.984  0.834  0.500
Sn  0.000  0.500  0.500
Sn  0.500  0.000  0.500

Peak list (10 most intense, 2θ from 10° to 80°, sorted by position)
| Position (°2θ) | I/Imax |
| --- | --- |
| 24.3 | 825 |
| 27.5 | 593 |
| 34.7 | 1000 |
| 35.4 | 939 |
| 42.9 | 372 |
| 43.4 | 362 |
| 44.8 | 999 |
| 50.5 | 675 |
| 56.8 | 331 |
| 69.4 | 327 |